Calculated X-ray powder pattern of CeYH2 for Cu Kα, 1.54184 Å, from a DFT-relaxed cell (PBE, Alexandria).

The 8 most intense peaks (2θ from 10° to 80°), sorted by position:
2θ/deg  intensity  (hkl)
29.3  49  0 0 6
30.6  100  1 0 1
31.7  30  0 1 2
36.1  33  1 0 4
39.1  62  0 1 5
46.3  26  1 0 7
53.6  28  1 1 0
62.2  34  1 1 6

Crystal structure
abc: 3.4225 3.4225 18.2893
angles: 90.00 90.00 120.00
Space group R3m (No. 160, hexagonal axes)
One atom of each set of equivalent atoms:
Ce 0.0000 0.0000 0.0000 [3 per cell]
Y 0.0000 0.0000 0.1754 [3 per cell]
H 0.0000 0.0000 0.5812 [3 per cell]
H 0.0000 0.0000 0.7671 [3 per cell]

---

Calculated X-ray powder pattern of CeYH for Cu Kα, 1.54184 Å, from a DFT-relaxed cell (PBE, Alexandria).

The 8 most intense peaks (2θ from 10° to 80°), sorted by position:
2θ/deg  intensity  (hkl)
31.6  100  1 0 2
33.2  21  0 0 4
38.3  31  1 1 0
51.6  23  1 1 4
55.4  10  2 0 0
58.3  14  1 0 6
65.2  24  2 1 2
66.1  11  2 0 4

Crystal structure
abc: 3.319 3.319 10.806
angles: 90.00 90.00 90.00
Space group P4/nmm (No. 129, origin choice 2)
One atom of each set of equivalent atoms:
Ce 0.250 0.250 0.115 [2 per cell]
Y 0.250 0.250 0.641 [2 per cell]
H 0.250 0.250 0.333 [2 per cell]